1.
For Li2YCoF8, a cell relaxed with GGA+U gives the calculated powder X-ray diffraction pattern in this record (Cu Kα, 1.54184 Å).

Largest 10 diffraction maxima, in order of falling intensity, 15 to 90 degrees two-theta:
2theta, I_rel
18.69, 100
26.14, 32
26.95, 30
38.08, 29
39.09, 26
42.03, 25
27.10, 20
32.83, 17
33.41, 14
52.26, 11

Atomic structure:
Cell lengths 4.7478, 4.7554, 6.5822 Å; angles 91.13, 90.89, 91.69 degrees
Positions (direct):
Li 0.0022 0.9995 0.2531
Li 0.9978 0.0005 0.7469
Y 0.5000 0.5000 0.5000
Co 0.5000 0.5000 0.0000
F 0.1843 0.8142 0.5001
F 0.2337 0.7647 0.0009
F 0.2952 0.2941 0.2311
F 0.3064 0.3058 0.7778
F 0.6936 0.6942 0.2222
F 0.7048 0.7059 0.7689
F 0.7663 0.2353 0.9991
F 0.8157 0.1858 0.4999

2.
For Li2ZnCoF6, a cell relaxed with GGA+U gives the calculated powder X-ray diffraction pattern in this record (Cu Kα, 1.54184 Å).

Largest 10 diffraction maxima, in order of falling intensity, 15 to 90 degrees two-theta:
2theta, I_rel
23.56, 100
32.41, 43
52.77, 41
39.82, 28
62.15, 20
48.19, 20
42.35, 17
60.72, 16
34.67, 16
55.84, 15

Atomic structure:
Cell lengths 5.1714, 5.1737, 5.5488 Å; angles 117.78, 90.02, 119.94 degrees
Positions (direct):
Li 0.0000 0.0000 0.0000
Li 0.4962 0.9935 0.4904
Zn 0.2905 0.5814 0.8725
Co 0.7916 0.5837 0.3762
F 0.0812 0.4725 0.1703
F 0.1962 0.0875 0.6694
F 0.3904 0.0879 0.1711
F 0.5800 0.7768 0.6681
F 0.6974 0.7792 0.1703
F 0.8904 0.4716 0.6686

3.
For MgCoF4, a cell relaxed with GGA+U gives the calculated powder X-ray diffraction pattern in this record (Cu Kα, 1.54184 Å).

Largest 10 diffraction maxima, in order of falling intensity, 15 to 90 degrees two-theta:
2theta, I_rel
26.67, 100
52.13, 70
34.23, 42
39.33, 35
66.35, 29
19.37, 27
54.95, 22
33.18, 17
65.58, 13
58.67, 13

Atomic structure:
Cell lengths 5.6781, 5.6781, 5.6781 Å; angles 107.89, 107.89, 112.69 degrees
Positions (direct):
Mg 0.0000 0.0000 0.0000
Mg 0.7500 0.2500 0.5000
Co 0.2468 0.7468 0.5000
Co 0.4968 0.4968 0.0000
F 0.0444 0.2420 0.8024
F 0.4396 0.2420 0.1976
F 0.5042 0.1999 0.6957
F 0.5042 0.8085 0.3043
F 0.5585 0.7542 0.8043
F 0.9499 0.7542 0.1957
F 0.9920 0.2944 0.3024
F 0.9920 0.6896 0.6976

4.
For Mg2CoF6, a cell relaxed with GGA+U gives the calculated powder X-ray diffraction pattern in this record (Cu Kα, 1.54184 Å).

Largest 10 diffraction maxima, in order of falling intensity, 15 to 90 degrees two-theta:
2theta, I_rel
23.25, 100
39.28, 80
52.08, 68
32.01, 41
18.76, 40
61.23, 36
20.53, 29
47.54, 29
59.85, 19
34.19, 18

Atomic structure:
Cell lengths 5.6161, 5.6161, 5.6161 Å; angles 55.67, 55.67, 55.67 degrees
Positions (direct):
Mg 0.0000 0.0000 0.0000
Mg 0.1982 0.1982 0.1982
Co 0.5052 0.5052 0.5052
F 0.1443 0.7960 0.3602
F 0.2516 0.6035 0.9190
F 0.3602 0.1443 0.7960
F 0.6035 0.9190 0.2516
F 0.7960 0.3602 0.1443
F 0.9190 0.2516 0.6035

5.
For MgCoSnF6, a cell relaxed with GGA+U gives the calculated powder X-ray diffraction pattern in this record (Cu Kα, 1.54184 Å).

Largest 10 diffraction maxima, in order of falling intensity, 15 to 90 degrees two-theta:
2theta, I_rel
25.78, 100
48.98, 40
55.05, 24
42.55, 24
33.26, 20
19.02, 17
59.42, 15
37.70, 14
57.27, 10
40.05, 10

Atomic structure:
Cell lengths 5.3863, 5.3863, 5.1412 Å; angles 90.02, 90.02, 119.93 degrees
Positions (direct):
Mg 0.0000 0.0000 0.0000
Co 0.6665 0.3335 0.0000
Sn 0.3333 0.6667 0.5000
F 0.3272 0.0251 0.2127
F 0.3265 0.3021 0.7873
F 0.6975 0.0246 0.7873
F 0.6979 0.6735 0.2127
F 0.9754 0.3025 0.2127
F 0.9749 0.6728 0.7873

6.
For MgTlCo2F8, a cell relaxed with GGA+U gives the calculated powder X-ray diffraction pattern in this record (Cu Kα, 1.54184 Å).

Largest 10 diffraction maxima, in order of falling intensity, 15 to 90 degrees two-theta:
2theta, I_rel
32.26, 100
22.41, 83
25.34, 76
25.91, 66
49.28, 27
49.17, 27
29.17, 23
37.41, 22
49.92, 22
49.81, 22

Atomic structure:
Cell lengths 4.9049, 6.7227, 4.9291 Å; angles 90.00, 91.24, 90.00 degrees
Positions (direct):
Mg 0.0000 0.0000 0.0000
Tl 0.0000 0.5000 0.0000
Co 0.5000 0.2344 0.5000
Co 0.5000 0.7656 0.5000
F 0.2085 0.2124 0.2057
F 0.2085 0.7876 0.2057
F 0.2989 0.0000 0.6984
F 0.3295 0.5000 0.6673
F 0.6705 0.5000 0.3327
F 0.7011 0.0000 0.3016
F 0.7915 0.2124 0.7943
F 0.7915 0.7876 0.7943

7.
For MgZnCoF6, a cell relaxed with GGA+U gives the calculated powder X-ray diffraction pattern in this record (Cu Kα, 1.54184 Å).

Largest 10 diffraction maxima, in order of falling intensity, 15 to 90 degrees two-theta:
2theta, I_rel
28.08, 100
40.10, 99
53.99, 82
19.77, 77
61.86, 38
34.53, 33
45.09, 32
58.00, 26
86.59, 17
76.33, 14

Atomic structure:
Cell lengths 5.1955, 5.1955, 8.9782 Å; angles 90.00, 90.00, 120.00 degrees
Positions (direct):
Mg 0.0000 0.0000 0.0000
Mg 0.0000 0.0000 0.5000
Zn 0.3333 0.6667 0.2500
Zn 0.6667 0.3333 0.7500
Co 0.3333 0.6667 0.7500
Co 0.6667 0.3333 0.2500
F 0.9995 0.3269 0.1277
F 0.0005 0.3273 0.6276
F 0.9995 0.6727 0.3724
F 0.0005 0.6731 0.8724
F 0.3273 0.0005 0.1277
F 0.3269 0.9995 0.6276
F 0.3273 0.3269 0.3724
F 0.3269 0.3273 0.8724
F 0.6731 0.0005 0.3724
F 0.6727 0.9995 0.8724
F 0.6731 0.6727 0.1277
F 0.6727 0.6731 0.6276

8.
For MnCo2F5, a cell relaxed with GGA+U gives the calculated powder X-ray diffraction pattern in this record (Cu Kα, 1.54184 Å).

Largest 10 diffraction maxima, in order of falling intensity, 15 to 90 degrees two-theta:
2theta, I_rel
33.54, 100
26.83, 84
21.67, 57
36.10, 48
47.11, 46
53.71, 36
60.14, 34
16.49, 34
55.44, 31
42.80, 31

Atomic structure:
Cell lengths 3.0786, 12.6777, 5.3774 Å; angles 90.00, 90.00, 90.00 degrees
Positions (direct):
Mn 0.2500 0.2500 0.1563
Mn 0.7500 0.7500 0.8437
Co 0.2500 0.5941 0.3656
Co 0.2500 0.9059 0.3656
Co 0.7500 0.0941 0.6344
Co 0.7500 0.4059 0.6344
F 0.2500 0.0718 0.3659
F 0.2500 0.4282 0.3659
F 0.2500 0.6509 0.0279
F 0.2500 0.7500 0.5469
F 0.2500 0.8491 0.0279
F 0.7500 0.1509 0.9721
F 0.7500 0.2500 0.4531
F 0.7500 0.3491 0.9721
F 0.7500 0.5718 0.6341
F 0.7500 0.9282 0.6341

9.
For MnCoNiF6, a cell relaxed with GGA+U gives the calculated powder X-ray diffraction pattern in this record (Cu Kα, 1.54184 Å).

Largest 10 diffraction maxima, in order of falling intensity, 15 to 90 degrees two-theta:
2theta, I_rel
26.21, 100
51.07, 67
33.48, 55
65.00, 24
53.94, 19
38.50, 19
63.96, 14
57.19, 11
60.94, 10
82.50, 9

Atomic structure:
Cell lengths 4.8079, 4.8079, 9.6644 Å; angles 90.00, 90.00, 90.00 degrees
Positions (direct):
Mn 0.0000 0.0000 0.0000
Mn 0.5000 0.5000 0.5000
Co 0.0000 0.0000 0.6678
Co 0.5000 0.5000 0.1678
Ni 0.0000 0.0000 0.3336
Ni 0.5000 0.5000 0.8336
F 0.1883 0.1883 0.4982
F 0.1984 0.1984 0.1738
F 0.2013 0.2013 0.8295
F 0.2987 0.7013 0.3295
F 0.3016 0.6984 0.6738
F 0.3117 0.6883 0.9982
F 0.6883 0.3117 0.9982
F 0.6984 0.3016 0.6738
F 0.7013 0.2987 0.3295
F 0.7987 0.7987 0.8295
F 0.8016 0.8016 0.1738
F 0.8117 0.8117 0.4982

10.
For CoN2F8, a cell relaxed with GGA+U gives the calculated powder X-ray diffraction pattern in this record (Cu Kα, 1.54184 Å).

Largest 10 diffraction maxima, in order of falling intensity, 15 to 90 degrees two-theta:
2theta, I_rel
25.53, 100
19.59, 80
27.47, 80
28.57, 78
22.56, 65
44.81, 63
29.59, 61
26.33, 56
15.87, 46
29.02, 35

Atomic structure:
Cell lengths 6.5451, 6.5451, 13.1727 Å; angles 111.04, 111.04, 44.53 degrees
Positions (direct):
Co 0.0223 0.9777 0.7500
Co 0.9777 0.0223 0.2500
N 0.1194 0.6608 0.4294
N 0.3392 0.8806 0.0706
N 0.6608 0.1194 0.9294
N 0.8806 0.3392 0.5706
F 0.0811 0.6812 0.2496
F 0.1446 0.2565 0.5859
F 0.2000 0.7130 0.6326
F 0.2565 0.1446 0.0859
F 0.2870 0.8000 0.8674
F 0.3130 0.3655 0.4190
F 0.3188 0.9189 0.2504
F 0.3655 0.3130 0.9190
F 0.6345 0.6870 0.0810
F 0.6812 0.0811 0.7496
F 0.6870 0.6345 0.5810
F 0.7130 0.2000 0.1326
F 0.7435 0.8554 0.9141
F 0.8000 0.2870 0.3674
F 0.8554 0.7435 0.4141
F 0.9189 0.3188 0.7504

11.
For TaCoNF2, a cell relaxed with GGA+U gives the calculated powder X-ray diffraction pattern in this record (Cu Kα, 1.54184 Å).

Largest 10 diffraction maxima, in order of falling intensity, 15 to 90 degrees two-theta:
2theta, I_rel
31.02, 100
30.73, 46
54.82, 41
21.60, 40
44.02, 31
22.00, 23
64.67, 19
55.37, 18
44.87, 15
89.18, 11

Atomic structure:
Cell lengths 4.1143, 4.1143, 4.0405 Å; angles 90.00, 90.00, 90.00 degrees
Positions (direct):
Ta 0.0000 0.0000 0.0000
Co 0.5000 0.5000 0.5000
N 0.0000 0.0000 0.5000
F 0.0000 0.5000 0.0000
F 0.5000 0.0000 0.0000

12.
For NaCo2F8, a cell relaxed with GGA+U gives the calculated powder X-ray diffraction pattern in this record (Cu Kα, 1.54184 Å).

Largest 10 diffraction maxima, in order of falling intensity, 15 to 90 degrees two-theta:
2theta, I_rel
27.28, 100
25.91, 84
26.62, 40
30.56, 38
53.27, 35
15.14, 34
27.41, 25
46.24, 22
46.59, 18
46.51, 17

Atomic structure:
Cell lengths 3.9267, 6.6977, 6.8801 Å; angles 60.91, 89.57, 90.00 degrees
Positions (direct):
Na 0.0000 0.0000 0.0000
Co 0.2607 0.3309 0.3384
Co 0.7393 0.6691 0.6616
F 0.2461 0.6728 0.6540
F 0.2491 0.1824 0.6331
F 0.2540 0.1914 0.1730
F 0.2541 0.6357 0.1749
F 0.7459 0.3643 0.8251
F 0.7460 0.8086 0.8270
F 0.7509 0.8176 0.3669
F 0.7539 0.3272 0.3460

Question: Which formula does entry 4 have?
Answer: Mg2CoF6